# 1
For Nb4CoCuN2, a PBE-relaxed structure gives the theoretical powder diffractogram in this record (Cu Kα, 1.54184 Å).
Intensities are scaled so that the largest is 100.

The 12 most intense peaks (2θ = 10–80°), most intense first:
| d/Å | 2θ (°) | I/Imax | hkl |
| --- | --- | --- | --- |
| 2.287 | 39.40 | 100 | 1 0 3 |
| 2.696 | 33.23 | 22 | 1 0 0 |
| 1.556 | 59.38 | 22 | 1 1 0 |
| 1.263 | 75.27 | 15 | 1 1 6 |
| 2.159 | 41.84 | 15 | 0 0 6 |
| 1.287 | 73.62 | 15 | 2 0 3 |
| 1.685 | 54.45 | 13 | 1 0 6 |
| 1.270 | 74.77 | 10 | 1 0 9 |
| 2.639 | 33.97 | 4 | 1 0 1 |
| 1.526 | 60.70 | 4 | 1 0 7 |
| 2.072 | 43.69 | 4 | 1 0 4 |
| 3.238 | 27.54 | 3 | 0 0 4 |

Crystal structure
a = 3.1130 Å, b = 3.1130 Å, c = 12.9533 Å
α = 90.00°, β = 90.00°, γ = 120.00°
Space group P-6m2 (No. 187)
One atom of each set of equivalent atoms:
Nb  0.0000  0.0000  0.1508 (multiplicity 2)
Nb  0.6667  0.3333  0.3389 (multiplicity 2)
Co  0.6667  0.3333  0.0000 (multiplicity 1)
Cu  0.0000  0.0000  0.5000 (multiplicity 1)
N  0.3333  0.6667  0.2464 (multiplicity 2)


# 2
For InIr17, a PBE-relaxed structure gives the theoretical powder diffractogram in this record (Cu Kα, 1.54184 Å).
Intensities are scaled so that the largest is 100.

The 12 most intense peaks (2θ = 10–80°), most intense first:
| d/Å | 2θ (°) | I/Imax | hkl |
| --- | --- | --- | --- |
| 2.225 | 40.54 | 100 | 1 2 5 |
| 1.927 | 47.16 | 48 | 2 0 10 |
| 1.362 | 68.93 | 31 | 3 2 0 |
| 2.272 | 39.67 | 27 | 1 2 4 |
| 1.991 | 45.55 | 21 | 2 0 9 |
| 2.173 | 41.55 | 17 | 1 2 6 |
| 2.382 | 37.76 | 12 | 0 0 14 |
| 1.863 | 48.89 | 9 | 2 0 11 |
| 8.338 | 10.61 | 9 | 0 0 4 |
| 1.364 | 68.81 | 9 | 0 4 0 |
| 1.409 | 66.35 | 7 | 1 2 19 |
| 2.084 | 43.41 | 4 | 0 0 16 |

Crystal structure
a = 4.718 Å, b = 5.459 Å, c = 33.353 Å
α = 90.00°, β = 90.01°, γ = 90.00°
Space group P2_1/m (No. 11)
One atom of each set of equivalent atoms:
In  0.166  0.250  0.289 (multiplicity 2)
Ir  0.000  0.000  0.000 (multiplicity 2)
Ir  0.000  0.002  0.201 (multiplicity 4)
Ir  0.165  0.750  0.865 (multiplicity 2)
Ir  0.166  0.750  0.067 (multiplicity 2)
Ir  0.167  0.250  0.068 (multiplicity 2)
Ir  0.169  0.250  0.866 (multiplicity 2)
Ir  0.169  0.750  0.267 (multiplicity 2)
Ir  0.333  0.000  0.135 (multiplicity 4)
Ir  0.333  0.000  0.933 (multiplicity 4)
Ir  0.334  0.003  0.733 (multiplicity 4)
Ir  0.498  0.250  0.202 (multiplicity 2)
Ir  0.499  0.250  0.798 (multiplicity 2)
Ir  0.500  0.250  0.000 (multiplicity 2)


# 3
For BaSrCdSbP, a PBE-relaxed structure gives the theoretical powder diffractogram in this record (Cu Kα, 1.54184 Å).
Intensities are scaled so that the largest is 100.

The 12 most intense peaks (2θ = 10–80°), most intense first:
| d/Å | 2θ (°) | I/Imax | hkl |
| --- | --- | --- | --- |
| 3.292 | 27.09 | 100 | 1 3 1 |
| 3.041 | 29.37 | 71 | 1 1 2 |
| 8.529 | 10.37 | 47 | 0 2 0 |
| 2.744 | 32.64 | 47 | 1 5 0 |
| 2.638 | 33.99 | 35 | 0 2 3 |
| 2.308 | 39.02 | 34 | 2 0 0 |
| 2.325 | 38.73 | 22 | 0 4 3 |
| 2.716 | 32.99 | 20 | 1 3 2 |
| 2.978 | 30.00 | 20 | 0 4 2 |
| 1.737 | 52.69 | 19 | 2 2 3 |
| 1.638 | 56.15 | 15 | 2 4 3 |
| 2.606 | 34.42 | 14 | 1 5 1 |

Crystal structure
a = 4.617 Å, b = 17.059 Å, c = 8.321 Å
α = 90.00°, β = 90.00°, γ = 90.00°
Space group Cmc2_1 (No. 36)
One atom of each set of equivalent atoms:
Ba  0.000  0.044  0.000 (multiplicity 4)
Sr  0.000  0.218  0.379 (multiplicity 4)
Cd  0.000  0.400  0.159 (multiplicity 4)
Sb  0.000  0.427  0.803 (multiplicity 4)
P  0.000  0.176  0.737 (multiplicity 4)


# 4
For LaPrNi4Sn2, a PBE-relaxed structure gives the theoretical powder diffractogram in this record (Cu Kα, 1.54184 Å).
Intensities are scaled so that the largest is 100.

The 12 most intense peaks (2θ = 10–80°), most intense first:
| d/Å | 2θ (°) | I/Imax | hkl |
| --- | --- | --- | --- |
| 2.209 | 40.86 | 100 | 1 1 0 |
| 2.420 | 37.16 | 83 | 1 0 3 |
| 2.963 | 30.16 | 60 | 1 0 2 |
| 1.607 | 57.33 | 37 | 1 1 4 |
| 3.542 | 25.14 | 30 | 1 0 1 |
| 1.631 | 56.41 | 24 | 2 0 3 |
| 1.312 | 71.96 | 22 | 2 1 3 |
| 2.343 | 38.42 | 20 | 0 0 4 |
| 1.275 | 74.40 | 18 | 3 0 0 |
| 1.446 | 64.43 | 18 | 1 0 6 |
| 1.771 | 51.61 | 14 | 2 0 2 |
| 1.382 | 67.83 | 13 | 2 1 2 |

Crystal structure
a = 4.4172 Å, b = 4.4172 Å, c = 9.3727 Å
α = 90.00°, β = 90.00°, γ = 120.00°
Space group P-6m2 (No. 187)
One atom of each set of equivalent atoms:
La  0.0000  0.0000  0.0000 (multiplicity 1)
Pr  0.3333  0.6667  0.5000 (multiplicity 1)
Ni  0.0000  0.0000  0.3074 (multiplicity 2)
Ni  0.3333  0.6667  0.1922 (multiplicity 2)
Sn  0.6667  0.3333  0.2537 (multiplicity 2)


# 5
For LiSi4Ni6, a PBE-relaxed structure gives the theoretical powder diffractogram in this record (Cu Kα, 1.54184 Å).
Intensities are scaled so that the largest is 100.

The 12 most intense peaks (2θ = 10–80°), most intense first:
| d/Å | 2θ (°) | I/Imax | hkl |
| --- | --- | --- | --- |
| 1.835 | 49.67 | 100 | 2 0 5 |
| 1.921 | 47.31 | 93 | 0 2 4 |
| 2.096 | 43.16 | 85 | 0 2 1 |
| 6.205 | 14.27 | 51 | 0 0 3 |
| 3.102 | 28.78 | 43 | 0 0 6 |
| 4.115 | 21.60 | 42 | 1 0 1 |
| 2.068 | 43.77 | 42 | 0 0 9 |
| 1.916 | 47.45 | 37 | 1 1 6 |
| 1.218 | 78.54 | 31 | 2 2 0 |
| 1.396 | 67.06 | 23 | 0 2 10 |
| 3.843 | 23.15 | 18 | 0 1 2 |
| 1.571 | 58.78 | 13 | 0 1 11 |

Crystal structure
a = 4.8719 Å, b = 4.8719 Å, c = 18.6136 Å
α = 90.00°, β = 90.00°, γ = 120.00°
Space group R-3m (No. 166, hexagonal axes)
One atom of each set of equivalent atoms:
Li  0.0000  0.0000  0.0000 (multiplicity 3)
Si  0.0000  0.0000  0.1322 (multiplicity 6)
Si  0.0000  0.0000  0.3315 (multiplicity 6)
Ni  0.0035  0.5017  0.1009 (multiplicity 18)


# 6
For YEr6Fe2Te2, a PBE-relaxed structure gives the theoretical powder diffractogram in this record (Cu Kα, 1.54184 Å).
Intensities are scaled so that the largest is 100.

The 12 most intense peaks (2θ = 10–80°), most intense first:
| d/Å | 2θ (°) | I/Imax | hkl |
| --- | --- | --- | --- |
| 2.636 | 34.01 | 100 | 1 4 1 |
| 2.656 | 33.74 | 84 | 0 3 3 |
| 2.578 | 34.80 | 72 | 1 3 2 |
| 2.913 | 30.69 | 46 | 1 1 2 |
| 1.562 | 59.17 | 34 | 2 3 3 |
| 1.930 | 47.08 | 31 | 2 0 0 |
| 2.612 | 34.33 | 28 | 0 6 0 |
| 3.563 | 24.99 | 26 | 1 0 1 |
| 1.485 | 62.55 | 21 | 1 7 4 |
| 2.304 | 39.10 | 20 | 1 2 3 |
| 3.105 | 28.75 | 19 | 1 3 0 |
| 2.410 | 37.31 | 19 | 1 0 3 |

Crystal structure
a = 3.860 Å, b = 15.672 Å, c = 9.255 Å
α = 90.00°, β = 90.00°, γ = 90.00°
Space group Imm2 (No. 44)
One atom of each set of equivalent atoms:
Y  0.000  0.000  0.000 (multiplicity 2)
Er  0.000  0.136  0.417 (multiplicity 4)
Er  0.000  0.314  0.625 (multiplicity 4)
Er  0.000  0.349  0.264 (multiplicity 4)
Fe  0.000  0.238  0.931 (multiplicity 4)
Te  0.000  0.000  0.663 (multiplicity 2)
Te  0.000  0.500  0.767 (multiplicity 2)